No. 1
Simulated PXRD pattern of ThCrTe for Cu Kα (λ = 1.5418 Å), from the GGA-PBE geometry in Alexandria.

Cell and atoms:
```
ThCrTe
1.0
2.688 -6.932 0.000
2.688 6.932 0.000
0.000 0.000 4.069
Th Cr Te
2 2 2
Cartesian
2.688 5.026 0.000 Th
2.688 -5.026 0.000 Th
1.045 0.000 2.034 Cr
4.331 0.000 2.034 Cr
2.688 2.145 2.034 Te
2.688 -2.145 2.034 Te
```

Largest 8 diffraction maxima, low angle first, 10 to 90 degrees two-theta:
Position (°2θ)  I_rel
17.7  19.0
25.7  28.3
28.3  56.0
33.3  22.2
33.8  100.0
42.6  28.9
54.3  22.9
63.3  17.8

No. 2
Simulated PXRD pattern of Rb2LiMgCl5 for Cu Kα (λ = 1.5418 Å), from the GGA-PBE geometry in Alexandria.

Cell and atoms:
```
Rb2LiMgCl5
1.0
2.011 -9.546 0.000
2.011 9.546 0.000
0.000 0.000 13.398
Rb Li Mg Cl
4 2 2 10
Cartesian
2.011 7.374 6.699 Rb
2.011 7.091 1.656 Rb
2.011 -7.091 8.355 Rb
2.011 -7.374 0.000 Rb
2.011 1.378 3.475 Li
2.011 -1.378 10.174 Li
2.011 5.543 11.201 Mg
2.011 -5.543 4.502 Mg
2.011 8.044 11.432 Cl
2.011 4.103 6.173 Cl
2.011 3.715 2.766 Cl
2.011 3.119 10.939 Cl
2.011 0.119 1.534 Cl
2.011 -0.119 8.233 Cl
2.011 -3.119 4.240 Cl
2.011 -3.715 9.465 Cl
2.011 -4.103 12.872 Cl
2.011 -8.044 4.733 Cl
```

Largest 8 diffraction maxima, low angle first, 10 to 90 degrees two-theta:
Position (°2θ)  I_rel
18.6  24.9
22.0  38.7
28.8  24.7
29.5  37.1
30.3  100.0
32.3  50.9
34.8  25.5
45.1  26.2

No. 3
Simulated PXRD pattern of Pm3ErAl8 for Cu Kα (λ = 1.5418 Å), from the GGA-PBE geometry in Alexandria.

Cell and atoms:
```
Pm3ErAl8
1.0
5.617 0.000 0.000
-2.808 4.864 0.000
0.000 0.000 9.245
Pm Er Al
3 1 8
Cartesian
0.000 0.000 0.000 Pm
0.000 0.000 3.363 Pm
0.000 3.243 7.976 Pm
0.000 3.243 4.612 Er
-1.366 2.454 1.692 Al
1.368 0.790 6.267 Al
1.366 2.454 1.692 Al
0.000 4.820 1.692 Al
2.808 1.621 3.994 Al
2.808 1.621 8.589 Al
4.249 0.790 6.267 Al
2.808 3.285 6.267 Al
```

Largest 8 diffraction maxima, low angle first, 10 to 90 degrees two-theta:
Position (°2θ)  I_rel
18.2  39.3
20.6  32.8
31.9  73.9
34.5  100.0
37.5  66.2
38.3  31.4
58.5  42.2
77.2  19.2